For Sm4Er5Tm, DFT lattice parameters and positions (PBE) gives the theoretical powder X-ray diffraction pattern in this record (copper Kα).
Neutral-atom scattering factors, no anomalous dispersion.

Cell and atoms:
```
Sm4Er5Tm
1.0
3.5061 0.0000 0.0000
-1.7447 8.5265 0.0000
-0.0011 -0.0096 11.0844
Sm Er Tm
4 5 1
Cartesian
-0.0012 0.5138 2.7674
0.0063 5.8724 2.7714
1.7539 2.6444 8.3130
1.7615 8.0030 8.3170
0.0023 2.9564 0.5681
0.0015 2.9562 4.9672
1.7525 -0.0048 5.5422
1.7588 5.5606 6.1172
1.7580 5.5605 10.5163
1.7530 0.0000 0.0000
```

Main lines, most intense first (15 to 90 degrees two-theta):
hkl 1 1 2, 34.13 deg, I 100
hkl 0 3 0, 31.48 deg, I 40
hkl 1 1 -2, 34.09 deg, I 39
hkl 0 2 -3, 32.06 deg, I 34
hkl -1 1 1, 27.18 deg, I 30
hkl 1 -4 5, 62.55 deg, I 27
hkl 0 1 3, 26.29 deg, I 26
hkl 0 0 4, 32.31 deg, I 24
hkl 1 -1 5, 48.90 deg, I 20
hkl 1 4 2, 57.76 deg, I 16
hkl 1 -4 1, 46.11 deg, I 13
hkl 2 -1 0, 52.18 deg, I 13